LuH9C5N2O8: calculated powder diffractogram (Cu Kα (weighted mean of Kα1 and Kα2)), based on a cell relaxed with PBE.

Atomic structure:
```
data_LuH9C5N2O8
_chemical_formula_sum 'Lu2 H18 C10 N4 O16'
_cell_length_a 11.192
_cell_length_b 7.212
_cell_length_c 6.536
_cell_angle_alpha 90.00
_cell_angle_beta 109.62
_cell_angle_gamma 90.00
_symmetry_space_group_name_H-M 'C 1 2 1'
_symmetry_Int_Tables_number 5
loop_
_symmetry_equiv_pos_as_xyz
'x,y,z'
'-x,y,-z'
'x+1/2,y+1/2,z'
'-x+1/2,y+1/2,-z'
loop_
_atom_site_label
_atom_site_fract_x
_atom_site_fract_y
_atom_site_fract_z
_atom_site_occupancy
Lu1 0.000 0.000 0.000 1
H1 0.000 0.084 0.500 1
H2 0.006 0.449 0.171 1
H3 0.121 0.612 0.461 1
H4 0.181 0.650 0.876 1
H5 0.219 0.421 0.592 1
C1 0.000 0.931 0.500 1
C2 0.085 0.375 0.291 1
C3 0.236 0.708 0.037 1
N1 0.148 0.476 0.461 1
O1 0.006 0.849 0.331 1
O2 0.109 0.209 0.261 1
O3 0.150 0.162 0.874 1
O4 0.176 0.820 0.120 1
```

Most intense lines, 10 to 90 degrees two-theta, by angle:
(hkl), 2θ/deg, d [Å], intensity
0 0 1, 14.39, 6.157, 45
1 1 0, 14.88, 5.952, 100
2 0 0, 16.82, 5.271, 32
2 0 -1, 18.11, 4.898, 23
1 1 -1, 18.67, 4.753, 50
1 1 1, 22.66, 3.924, 39
3 1 0, 28.25, 3.159, 27
2 2 0, 30.04, 2.975, 41
3 1 -2, 33.99, 2.638, 20
2 2 1, 35.92, 2.500, 19
0 2 2, 38.45, 2.341, 19
5 1 0, 44.78, 2.024, 20



YNiH8Ir2: calculated powder diffractogram (Cu Kα (weighted mean of Kα1 and Kα2)), based on a cell relaxed with PBE.

Atomic structure:
```
data_YNiH8Ir2
_chemical_formula_sum 'Y3 Ni3 H24 Ir6'
_cell_length_a 4.5861
_cell_length_b 4.5861
_cell_length_c 16.4167
_cell_angle_alpha 90.00
_cell_angle_beta 90.00
_cell_angle_gamma 120.00
_symmetry_space_group_name_H-M 'R -3'
_symmetry_Int_Tables_number 148
_symmetry_space_group_name_Hall '-R 3'
loop_
_atom_site_label
_atom_site_fract_x
_atom_site_fract_y
_atom_site_fract_z
_atom_site_occupancy
Y1 0.0000 0.0000 0.0000 1
Ni1 0.0000 0.0000 0.5000 1
H1 0.0000 0.0000 0.3176 1
H2 0.0166 0.7146 0.5614 1
Ir1 0.0000 0.0000 0.2189 1
```

Most intense lines, 10 to 90 degrees two-theta, by angle:
(hkl), 2θ/deg, d [Å], intensity
0 0 3, 16.20, 5.472, 30
0 1 2, 24.91, 3.575, 36
1 0 4, 31.34, 2.854, 100
0 1 5, 35.47, 2.531, 45
1 1 0, 39.29, 2.293, 86
1 1 3, 42.76, 2.115, 16
1 0 7, 44.88, 2.019, 25
0 2 4, 51.10, 1.788, 25
0 2 7, 61.12, 1.516, 17
1 1 9, 65.37, 1.427, 23
2 1 4, 66.30, 1.410, 23
3 0 0, 71.23, 1.324, 15



TeO2: calculated powder diffractogram (Cu Kα (weighted mean of Kα1 and Kα2)), based on a cell relaxed with PBE.

Atomic structure:
```
data_TeO2
_chemical_formula_sum 'Te4 O8'
_cell_length_a 4.977
_cell_length_b 4.977
_cell_length_c 7.620
_cell_angle_alpha 90.00
_cell_angle_beta 90.00
_cell_angle_gamma 90.00
_symmetry_space_group_name_H-M 'P 43 21 2'
_symmetry_Int_Tables_number 96
loop_
_symmetry_equiv_pos_as_xyz
'x,y,z'
'-y+1/2,x+1/2,z+3/4'
'-x,-y,z+1/2'
'y+1/2,-x+1/2,z+1/4'
'x+1/2,-y+1/2,-z+1/4'
'-y,-x,-z+1/2'
'-x+1/2,y+1/2,-z+3/4'
'y,x,-z'
loop_
_atom_site_label
_atom_site_fract_x
_atom_site_fract_y
_atom_site_fract_z
_atom_site_occupancy
Te1 0.032 0.032 0.000 1
O1 0.146 0.254 0.809 1
```

Most intense lines, 10 to 90 degrees two-theta, by angle:
(hkl), 2θ/deg, d [Å], intensity
1 0 1, 21.32, 4.167, 10
1 1 0, 25.31, 3.519, 80
1 1 1, 27.93, 3.195, 13
1 0 2, 29.53, 3.025, 100
2 0 0, 36.10, 2.488, 19
2 1 2, 47.30, 1.922, 58
2 2 0, 51.97, 1.760, 10
1 1 4, 54.81, 1.675, 23
3 1 0, 58.66, 1.574, 11
3 0 2, 60.91, 1.521, 12
2 0 4, 61.28, 1.513, 12
3 1 4, 78.91, 1.213, 12



BPHAu: calculated powder diffractogram (Cu Kα (weighted mean of Kα1 and Kα2)), based on a cell relaxed with PBE.

Atomic structure:
```
data_BPHAu
_chemical_formula_sum 'B3 P3 H3 Au3'
_cell_length_a 3.2158
_cell_length_b 3.2158
_cell_length_c 18.0758
_cell_angle_alpha 90.00
_cell_angle_beta 90.00
_cell_angle_gamma 120.00
_symmetry_space_group_name_H-M 'R 3 m'
_symmetry_Int_Tables_number 160
_symmetry_space_group_name_Hall 'R 3 -2"'
loop_
_atom_site_label
_atom_site_fract_x
_atom_site_fract_y
_atom_site_fract_z
_atom_site_occupancy
B1 0.0000 0.0000 0.0000 1
P1 0.0000 0.0000 0.6931 1
H1 0.0000 0.0000 0.7774 1
Au1 0.0000 0.0000 0.8795 1
```

Most intense lines, 10 to 90 degrees two-theta, by angle:
(hkl), 2θ/deg, d [Å], intensity
0 0 3, 14.70, 6.025, 100
0 0 6, 29.65, 3.013, 38
1 0 1, 32.53, 2.752, 89
0 1 2, 33.68, 2.661, 54
1 0 4, 37.95, 2.371, 45
0 1 5, 40.90, 2.206, 48
1 0 7, 48.05, 1.894, 24
0 1 8, 52.13, 1.755, 16
1 1 0, 57.30, 1.608, 21
1 1 3, 59.50, 1.554, 19
1 0 10, 61.12, 1.516, 15
1 1 6, 65.84, 1.419, 24